Diffraction record for Ir2Os4Ru. The powder XRD pattern is simulated, not measured: it uses DFT lattice parameters and positions (GGA-PBE) and CuKα.
No peak broadening, texture or thermal motion is included.

Largest 6 diffraction maxima, sorted by position, 10 to 80 degrees two-theta:
- d 2.343, rel. 31, (0 6 1)
- d 2.237, rel. 100, (1 7 0)
- d 2.135, rel. 49, (0 8 1)
- d 1.960, rel. 31, (0 14 0)
- d 1.923, rel. 52, (1 1 1)
- d 1.327, rel. 28, (1 15 1)

Atomic structure:
a b c (Å): 2.725 27.438 2.728
angles (deg): 90.00 90.00 90.00
Space group Cmmm (No. 65)
Asymmetric unit:
Ir 0.000 0.208 0.000
Os 0.000 0.070 0.000
Os 0.000 0.360 0.500
Ru 0.000 0.500 0.500